# 1
Simulated X-ray powder pattern
Compound: NiP2O7
Radiation: λ = 1.5418 Å (Cu Kα)
Structure: a crystal structure in the Materials Project, relaxed with GGA+U
Neutral-atom scattering factors, no anomalous dispersion.

Structural model:
```
data_NiP2O7
_space_group_name_H-M_alt 'P 1'
_space_group_IT_number 1
_cell_length_a 6.4940
_cell_length_b 6.4940
_cell_length_c 13.5512
_cell_angle_alpha 105.64
_cell_angle_beta 105.64
_cell_angle_gamma 80.62
loop_
_space_group_symop_operation_xyz
'x,y,z'
loop_
_atom_site_label
_atom_site_type_symbol
_atom_site_fract_x
_atom_site_fract_y
_atom_site_fract_z
Ni1 Ni 0.0915 0.6273 0.8552
Ni2 Ni 0.3727 0.9085 0.6448
Ni3 Ni 0.6273 0.0915 0.3552
Ni4 Ni 0.9085 0.3727 0.1448
P1 P 0.0868 0.1656 0.9288
P2 P 0.1656 0.0868 0.4288
P3 P 0.2442 0.4098 0.6319
P4 P 0.4098 0.2442 0.1319
P5 P 0.5902 0.7558 0.8681
P6 P 0.7558 0.5902 0.3681
P7 P 0.8344 0.9132 0.5712
P8 P 0.9132 0.8344 0.0712
O1 O 0.0303 0.9501 0.8543
O2 O 0.0499 0.9697 0.6457
O3 O 0.0752 0.5076 0.6963
O4 O 0.0948 0.7293 0.0151
O5 O 0.1113 0.2991 0.5157
O6 O 0.1355 0.3231 0.8756
O7 O 0.2342 0.3908 0.1792
O8 O 0.2707 0.9052 0.4849
O9 O 0.2991 0.1113 0.0157
O10 O 0.3231 0.1355 0.3756
O11 O 0.3572 0.5862 0.6216
O12 O 0.3908 0.2342 0.6792
O13 O 0.4138 0.6428 0.8784
O14 O 0.4924 0.9248 0.8037
O15 O 0.5076 0.0752 0.1963
O16 O 0.5862 0.3572 0.1216
O17 O 0.6092 0.7658 0.3208
O18 O 0.6428 0.4138 0.3784
O19 O 0.6769 0.8645 0.6244
O20 O 0.7009 0.8887 0.9843
O21 O 0.7293 0.0948 0.5151
O22 O 0.7658 0.6092 0.8208
O23 O 0.8645 0.6769 0.1244
O24 O 0.8887 0.7009 0.4843
O25 O 0.9052 0.2707 0.9849
O26 O 0.9248 0.4924 0.3037
O27 O 0.9501 0.0303 0.3543
O28 O 0.9697 0.0499 0.1457
```

Largest 8 diffraction maxima, by intensity, 5 to 70 degrees two-theta:
2θ (°), d_spacing, intensity
17.3, 5.126, 100
28.8, 3.100, 70
29.3, 3.053, 44
28.2, 3.169, 35
17.4, 5.085, 30
22.5, 3.960, 26
14.3, 6.215, 24
34.9, 2.569, 18



# 2
Simulated X-ray powder pattern
Compound: CaTiVP3O12
Radiation: λ = 1.5418 Å (Cu Kα)
Structure: a crystal structure in the Materials Project, relaxed with GGA+U
Neutral-atom scattering factors, no anomalous dispersion.

Structural model:
```
data_CaTiVP3O12
_space_group_name_H-M_alt 'P 1'
_space_group_IT_number 1
_cell_length_a 8.8706
_cell_length_b 8.8706
_cell_length_c 8.8706
_cell_angle_alpha 58.46
_cell_angle_beta 58.46
_cell_angle_gamma 58.46
loop_
_space_group_symop_operation_xyz
'x,y,z'
loop_
_atom_site_label
_atom_site_type_symbol
_atom_site_fract_x
_atom_site_fract_y
_atom_site_fract_z
Ca1 Ca 0.0000 0.0000 0.0000
Ca2 Ca 0.5000 0.5000 0.5000
Ti1 Ti 0.3509 0.3509 0.3509
Ti2 Ti 0.8509 0.8509 0.8509
V1 V 0.1439 0.1439 0.1439
V2 V 0.6439 0.6439 0.6439
P1 P 0.0388 0.4580 0.7464
P2 P 0.2464 0.9580 0.5388
P3 P 0.4580 0.7464 0.0388
P4 P 0.5388 0.2464 0.9580
P5 P 0.7464 0.0388 0.4580
P6 P 0.9580 0.5388 0.2464
O1 O 0.0632 0.2720 0.9138
O2 O 0.0760 0.9422 0.7267
O3 O 0.1260 0.4995 0.2923
O4 O 0.2022 0.9898 0.3783
O5 O 0.2267 0.4422 0.5760
O6 O 0.2720 0.9138 0.0632
O7 O 0.2923 0.1260 0.4995
O8 O 0.3783 0.2022 0.9898
O9 O 0.4138 0.7720 0.5632
O10 O 0.4422 0.5760 0.2267
O11 O 0.4898 0.7022 0.8783
O12 O 0.4995 0.2923 0.1260
O13 O 0.5632 0.4138 0.7720
O14 O 0.5760 0.2267 0.4422
O15 O 0.6260 0.7923 0.9995
O16 O 0.7022 0.8783 0.4898
O17 O 0.7267 0.0760 0.9422
O18 O 0.7720 0.5632 0.4138
O19 O 0.7923 0.9995 0.6260
O20 O 0.8783 0.4898 0.7022
O21 O 0.9138 0.0632 0.2720
O22 O 0.9422 0.7267 0.0760
O23 O 0.9898 0.3783 0.2022
O24 O 0.9995 0.6260 0.7923
```

Largest 8 diffraction maxima, by intensity, 5 to 70 degrees two-theta:
2θ (°), d_spacing, intensity
23.9, 3.729, 100
32.0, 2.797, 58
20.5, 4.332, 49
35.9, 2.501, 23
48.8, 1.864, 21
46.0, 1.973, 18
56.2, 1.637, 16
31.8, 2.813, 15



# 3
Simulated X-ray powder pattern
Compound: Li9Mn2Co5O16
Radiation: λ = 1.5418 Å (Cu Kα)
Structure: a crystal structure in the Materials Project, relaxed with GGA+U
Neutral-atom scattering factors, no anomalous dispersion.

Structural model:
```
data_Li9Mn2Co5O16
_space_group_name_H-M_alt 'P 1'
_space_group_IT_number 1
_cell_length_a 19.3907
_cell_length_b 19.3907
_cell_length_c 5.1884
_cell_angle_alpha 91.52
_cell_angle_beta 91.52
_cell_angle_gamma 8.52
loop_
_space_group_symop_operation_xyz
'x,y,z'
loop_
_atom_site_label
_atom_site_type_symbol
_atom_site_fract_x
_atom_site_fract_y
_atom_site_fract_z
Li1 Li 0.0000 0.0000 0.0000
Li2 Li 0.0584 0.0584 0.6802
Li3 Li 0.1891 0.1891 0.0655
Li4 Li 0.3113 0.3113 0.4335
Li5 Li 0.4407 0.4407 0.8207
Li6 Li 0.5593 0.5593 0.1793
Li7 Li 0.6887 0.6887 0.5665
Li8 Li 0.8109 0.8109 0.9345
Li9 Li 0.9416 0.9416 0.3198
Mn1 Mn 0.3760 0.3760 0.1259
Mn2 Mn 0.6240 0.6240 0.8741
Co1 Co 0.1246 0.1246 0.3736
Co2 Co 0.2500 0.2500 0.7498
Co3 Co 0.5000 0.5000 0.5000
Co4 Co 0.7500 0.7500 0.2502
Co5 Co 0.8754 0.8754 0.6264
O1 O 0.0284 0.0284 0.3560
O2 O 0.0950 0.0950 0.0087
O3 O 0.1531 0.1531 0.7407
O4 O 0.2204 0.2204 0.4080
O5 O 0.2795 0.2795 0.0915
O6 O 0.3479 0.3479 0.7637
O7 O 0.4027 0.4027 0.4897
O8 O 0.4733 0.4733 0.2086
O9 O 0.5267 0.5267 0.7914
O10 O 0.5973 0.5973 0.5103
O11 O 0.6521 0.6521 0.2363
O12 O 0.7205 0.7205 0.9085
O13 O 0.7796 0.7796 0.5920
O14 O 0.8469 0.8469 0.2593
O15 O 0.9050 0.9050 0.9913
O16 O 0.9716 0.9716 0.6440
```

Largest 8 diffraction maxima, by intensity, 5 to 70 degrees two-theta:
2θ (°), d_spacing, intensity
18.4, 4.833, 100
44.0, 2.059, 54
42.5, 2.128, 30
36.3, 2.477, 25
35.0, 2.561, 16
62.7, 1.483, 15
62.9, 1.477, 15
47.6, 1.910, 10



# 4
Simulated X-ray powder pattern
Compound: CoH7C3NO6
Radiation: λ = 1.5418 Å (Cu Kα)
Structure: a crystal structure in the Materials Project, relaxed with GGA+U
Neutral-atom scattering factors, no anomalous dispersion.

Structural model:
```
data_CoH7C3NO6
_space_group_name_H-M_alt 'P 1'
_space_group_IT_number 1
_cell_length_a 7.4596
_cell_length_b 7.4596
_cell_length_c 8.2049
_cell_angle_alpha 91.23
_cell_angle_beta 91.23
_cell_angle_gamma 59.20
loop_
_space_group_symop_operation_xyz
'x,y,z'
loop_
_atom_site_label
_atom_site_type_symbol
_atom_site_fract_x
_atom_site_fract_y
_atom_site_fract_z
Co1 Co 0.1665 0.1665 0.2497
Co2 Co 0.8335 0.8335 0.7503
H1 H 0.0875 0.9125 0.5000
H2 H 0.0887 0.5021 0.0014
H3 H 0.3903 0.5822 0.6546
H4 H 0.3936 0.5266 0.8449
H5 H 0.4178 0.6097 0.3454
H6 H 0.4319 0.4168 0.2186
H7 H 0.4734 0.6064 0.1551
H8 H 0.4973 0.0927 0.4990
H9 H 0.4979 0.9113 0.9986
H10 H 0.5832 0.5681 0.7814
H11 H 0.5848 0.3478 0.7190
H12 H 0.6522 0.4152 0.2810
H13 H 0.9073 0.5027 0.5010
H14 H 0.9092 0.0908 0.0000
C1 C 0.0567 0.5006 0.5007
C2 C 0.0590 0.9410 0.0000
C3 C 0.4994 0.9433 0.4993
C4 C 0.5007 0.0582 0.0015
C5 C 0.9373 0.0627 0.5000
C6 C 0.9418 0.4993 0.9985
N1 N 0.4907 0.5051 0.7500
N2 N 0.4949 0.5093 0.2500
O1 O 0.0824 0.6136 0.6050
O2 O 0.0841 0.8022 0.8955
O3 O 0.1918 0.3862 0.3962
O4 O 0.1978 0.9159 0.1045
O5 O 0.3864 0.9176 0.3950
O6 O 0.3908 0.1951 0.1087
O7 O 0.6120 0.0794 0.8983
O8 O 0.6138 0.8082 0.6038
O9 O 0.8040 0.0888 0.6062
O10 O 0.8049 0.6092 0.8913
O11 O 0.9112 0.1960 0.3938
O12 O 0.9206 0.3880 0.1017
```

Largest 8 diffraction maxima, by intensity, 5 to 70 degrees two-theta:
2θ (°), d_spacing, intensity
17.7, 5.022, 100
17.5, 5.080, 68
17.2, 5.149, 35
26.5, 3.364, 30
13.8, 6.407, 26
32.1, 2.789, 24
32.7, 2.741, 23
32.8, 2.730, 21